This entry pairs a crystal structure of Li3TiFe4O8 with its simulated X-ray powder pattern. Radiation: Cu Ka. Structure: a DFT-relaxed cell (PBE+U, Alexandria).
Kinematic intensities with the Lorentz-polarization factor, no thermal factor.

Peak list (6 most intense, 2θ from 15° to 90°, in order of falling intensity)
hkl 2 2 -2, 41.92°, intensity 100; hkl 2 0 -1, 18.09°, intensity 72; hkl 2 2 2, 61.74°, intensity 53; hkl 4 0 0, 43.16°, intensity 46; hkl 2 2 0, 36.27°, intensity 25; hkl 0 2 1, 34.45°, intensity 25

Crystal structure
```
data_Li3TiFe4O8
_chemical_formula_sum 'Li6 Ti2 Fe8 O16'
_symmetry_space_group_name_H-M 'C 1 2/m 1'
_symmetry_Int_Tables_number 12
_symmetry_space_group_name_Hall '-C 2y'
_cell_length_a 10.3317
_cell_length_b 6.1410
_cell_length_c 6.0519
_cell_angle_alpha 90.00
_cell_angle_beta 125.76
_cell_angle_gamma 90.00
loop_
_atom_site_label
_atom_site_type_symbol
_atom_site_fract_x
_atom_site_fract_y
_atom_site_fract_z
_atom_site_occupancy
Li1 Li 0.0000 0.0000 0.0000 1
Li2 Li 0.2500 0.2500 0.5000 1
Ti1 Ti 0.0000 0.5000 0.5000 1
Fe1 Fe 0.0000 0.0000 0.5000 1
Fe2 Fe 0.0000 0.5000 0.0000 1
Fe3 Fe 0.2500 0.2500 0.0000 1
O1 O 0.0059 0.2744 0.2621 1
O2 O 0.2351 0.5000 0.7483 1
O3 O 0.2471 0.5000 0.2476 1
```